Entry 1:
Simulated powder diffraction line list of Ba6Pd for Cu Kα (λ = 1.5418 Å), from a DFT-relaxed cell (PBE, Alexandria).
Neutral-atom scattering factors, no anomalous dispersion.

Crystal structure
```
data_Ba6Pd
_chemical_formula_sum 'Ba24 Pd4'
_cell_length_a 14.9750
_cell_length_b 13.7062
_cell_length_c 7.8922
_cell_angle_alpha 90.00
_cell_angle_beta 90.00
_cell_angle_gamma 90.00
_space_group_name_H-M_alt 'P n m a'
_space_group_IT_number 62
loop_
_space_group_symop_operation_xyz
'x,y,z'
'-x,-y,-z'
'-x+1/2,-y,z+1/2'
'x+1/2,y,-z+1/2'
'x+1/2,-y+1/2,-z+1/2'
'-x+1/2,y+1/2,z+1/2'
'-x,y+1/2,-z'
'x,-y+1/2,z'
loop_
_atom_site_label
_atom_site_type_symbol
_atom_site_fract_x
_atom_site_fract_y
_atom_site_fract_z
Ba1 Ba 0.0021 0.2500 0.2411
Ba2 Ba 0.0052 0.0857 0.7509
Ba3 Ba 0.2467 0.0863 0.0830
Ba4 Ba 0.2493 0.7500 0.0927
Pd1 Pd 0.1255 0.2500 0.9165
```

Largest 12 diffraction maxima, low angle first, 5 to 70 degrees two-theta:
23.28°, intensity 27
23.77°, intensity 26
25.49°, intensity 100
28.82°, intensity 35
32.96°, intensity 9
37.69°, intensity 17
39.50°, intensity 36
42.85°, intensity 17
46.62°, intensity 25
47.57°, intensity 12
63.48°, intensity 11
64.40°, intensity 11

---

Entry 2:
Simulated powder diffraction line list of Ba2Pd for Cu Kα (λ = 1.5418 Å), from a DFT-relaxed cell (PBE, Alexandria).
Neutral-atom scattering factors, no anomalous dispersion.

Crystal structure
```
data_Ba2Pd
_chemical_formula_sum 'Ba8 Pd4'
_cell_length_a 6.4429
_cell_length_b 6.4429
_cell_length_c 13.4864
_cell_angle_alpha 90.00
_cell_angle_beta 90.00
_cell_angle_gamma 90.00
_space_group_name_H-M_alt 'I 41/a m d'
_space_group_IT_number 141
loop_
_space_group_symop_operation_xyz
'x,y,z'
'-x,-y,-z'
'-y+1/4,x+3/4,z+1/4'
'y+1/4,-x+3/4,-z+1/4'
'-x+1/2,-y,z+1/2'
'x+1/2,y,-z+1/2'
'y+1/4,-x+1/4,z+3/4'
'-y+1/4,x+1/4,-z+3/4'
'x,-y,-z'
'-x,y,z'
'-y+1/4,-x+1/4,-z+3/4'
'y+1/4,x+1/4,z+3/4'
'-x+1/2,y,-z+1/2'
'x+1/2,-y,z+1/2'
'y+1/4,x+3/4,-z+1/4'
'-y+1/4,-x+3/4,z+1/4'
'x+1/2,y+1/2,z+1/2'
'-x+1/2,-y+1/2,-z+1/2'
'-y+3/4,x+1/4,z+3/4'
'y+3/4,-x+1/4,-z+3/4'
'-x,-y+1/2,z'
'x,y+1/2,-z'
'y+3/4,-x+3/4,z+1/4'
'-y+3/4,x+3/4,-z+1/4'
'x+1/2,-y+1/2,-z+1/2'
'-x+1/2,y+1/2,z+1/2'
'-y+3/4,-x+3/4,-z+1/4'
'y+3/4,x+3/4,z+1/4'
'-x,y+1/2,-z'
'x,-y+1/2,z'
'y+3/4,x+1/4,-z+3/4'
'-y+3/4,-x+1/4,z+3/4'
loop_
_atom_site_label
_atom_site_type_symbol
_atom_site_fract_x
_atom_site_fract_y
_atom_site_fract_z
Ba1 Ba 0.0000 0.2500 0.1117
Pd1 Pd 0.0000 0.2500 0.8750
```

Largest 12 diffraction maxima, low angle first, 5 to 70 degrees two-theta:
15.24°, intensity 52
23.57°, intensity 49
26.44°, intensity 52
27.69°, intensity 100
31.76°, intensity 17
36.10°, intensity 16
38.66°, intensity 75
39.56°, intensity 38
46.10°, intensity 16
48.21°, intensity 40
64.07°, intensity 17
64.70°, intensity 18

---

Entry 3:
Simulated powder diffraction line list of BaPmPd for Cu Kα (λ = 1.5418 Å), from a DFT-relaxed cell (PBE, Alexandria).
Neutral-atom scattering factors, no anomalous dispersion.

Crystal structure
```
data_BaPmPd
_chemical_formula_sum 'Ba4 Pm4 Pd4'
_cell_length_a 7.3810
_cell_length_b 4.2569
_cell_length_c 14.4338
_cell_angle_alpha 90.00
_cell_angle_beta 99.88
_cell_angle_gamma 90.00
_space_group_name_H-M_alt 'C 1 m 1'
_space_group_IT_number 8
loop_
_space_group_symop_operation_xyz
'x,y,z'
'x,-y,z'
'x+1/2,y+1/2,z'
'x+1/2,-y+1/2,z'
loop_
_atom_site_label
_atom_site_type_symbol
_atom_site_fract_x
_atom_site_fract_y
_atom_site_fract_z
Ba1 Ba 0.0000 0.0000 0.0000
Ba2 Ba 0.2425 0.0000 0.7284
Pm1 Pm 0.1529 0.0000 0.4601
Pm2 Pm 0.4116 0.0000 0.2372
Pd1 Pd 0.0262 0.5000 0.5799
Pd2 Pd 0.2795 0.5000 0.3407
```

Largest 12 diffraction maxima, low angle first, 5 to 70 degrees two-theta:
6.22°, intensity 100
24.22°, intensity 17
25.05°, intensity 15
25.55°, intensity 22
26.32°, intensity 39
28.28°, intensity 24
29.44°, intensity 68
33.53°, intensity 41
36.65°, intensity 27
42.45°, intensity 55
47.40°, intensity 20
49.92°, intensity 14

---

Entry 4:
Simulated powder diffraction line list of Ba2PmPd9 for Cu Kα (λ = 1.5418 Å), from a DFT-relaxed cell (PBE, Alexandria).
Neutral-atom scattering factors, no anomalous dispersion.

Crystal structure
```
data_Ba2PmPd9
_chemical_formula_sum 'Ba6 Pm3 Pd27'
_cell_length_a 5.4990
_cell_length_b 5.4990
_cell_length_c 28.0543
_cell_angle_alpha 90.00
_cell_angle_beta 90.00
_cell_angle_gamma 120.00
_space_group_name_H-M_alt 'R -3 m'
_space_group_IT_number 166
_space_group_name_Hall '-R 3 2"'
loop_
_atom_site_label
_atom_site_type_symbol
_atom_site_fract_x
_atom_site_fract_y
_atom_site_fract_z
Ba1 Ba 0.0000 0.0000 0.1400
Pm1 Pm 0.0000 0.0000 0.0000
Pd1 Pd 0.0000 0.0000 0.3326
Pd2 Pd 0.0000 0.0000 0.5000
Pd3 Pd 0.0006 0.5003 0.0802
```

Largest 12 diffraction maxima, low angle first, 5 to 70 degrees two-theta:
29.12°, intensity 18
31.69°, intensity 20
32.57°, intensity 22
37.95°, intensity 100
38.34°, intensity 10
38.51°, intensity 17
40.11°, intensity 11
41.18°, intensity 20
57.60°, intensity 15
60.37°, intensity 10
61.71°, intensity 18
68.22°, intensity 18

---

Entry 5:
Simulated powder diffraction line list of Ba2PrPd9 for Cu Kα (λ = 1.5418 Å), from a DFT-relaxed cell (PBE, Alexandria).
Neutral-atom scattering factors, no anomalous dispersion.

Crystal structure
```
data_Ba2PrPd9
_chemical_formula_sum 'Ba6 Pr3 Pd27'
_cell_length_a 5.5178
_cell_length_b 5.5178
_cell_length_c 28.0086
_cell_angle_alpha 90.00
_cell_angle_beta 90.00
_cell_angle_gamma 120.00
_space_group_name_H-M_alt 'R -3 m'
_space_group_IT_number 166
_space_group_name_Hall '-R 3 2"'
loop_
_atom_site_label
_atom_site_type_symbol
_atom_site_fract_x
_atom_site_fract_y
_atom_site_fract_z
Ba1 Ba 0.0000 0.0000 0.1402
Pr1 Pr 0.0000 0.0000 0.0000
Pd1 Pd 0.0000 0.0000 0.3326
Pd2 Pd 0.0000 0.0000 0.5000
Pd3 Pd 0.0005 0.5003 0.0804
```

Largest 12 diffraction maxima, low angle first, 5 to 70 degrees two-theta:
29.11°, intensity 17
31.68°, intensity 19
32.45°, intensity 22
37.86°, intensity 100
38.21°, intensity 10
38.57°, intensity 17
40.13°, intensity 12
41.07°, intensity 21
60.34°, intensity 10
61.51°, intensity 18
67.95°, intensity 19
69.30°, intensity 8

---

Entry 6:
Simulated powder diffraction line list of Ba7Pd4Pt for Cu Kα (λ = 1.5418 Å), from a DFT-relaxed cell (PBE, Alexandria).
Neutral-atom scattering factors, no anomalous dispersion.

Crystal structure
```
data_Ba7Pd4Pt
_chemical_formula_sum 'Ba14 Pd8 Pt2'
_cell_length_a 15.0763
_cell_length_b 4.5335
_cell_length_c 13.7724
_cell_angle_alpha 90.00
_cell_angle_beta 105.49
_cell_angle_gamma 90.00
_space_group_name_H-M_alt 'C 1 m 1'
_space_group_IT_number 8
loop_
_space_group_symop_operation_xyz
'x,y,z'
'x,-y,z'
'x+1/2,y+1/2,z'
'x+1/2,-y+1/2,z'
loop_
_atom_site_label
_atom_site_type_symbol
_atom_site_fract_x
_atom_site_fract_y
_atom_site_fract_z
Ba1 Ba 0.0000 0.0000 0.0000
Ba2 Ba 0.0215 0.5000 0.2809
Ba3 Ba 0.1021 0.5000 0.5887
Ba4 Ba 0.2215 0.0000 0.8551
Ba5 Ba 0.2568 0.5000 0.1409
Ba6 Ba 0.2946 0.0000 0.4227
Ba7 Ba 0.4144 0.5000 0.6909
Pd1 Pd 0.0636 0.5000 0.8297
Pd2 Pd 0.2582 0.0000 0.6395
Pd3 Pd 0.3747 0.0000 0.0648
Pd4 Pd 0.4539 0.5000 0.4522
Pt1 Pt 0.1423 0.0000 0.2144
```

Largest 12 diffraction maxima, low angle first, 5 to 70 degrees two-theta:
26.24°, intensity 70
26.38°, intensity 46
26.54°, intensity 82
26.94°, intensity 39
27.84°, intensity 100
28.97°, intensity 57
30.64°, intensity 46
32.68°, intensity 38
35.37°, intensity 35
38.91°, intensity 40
39.78°, intensity 95
48.27°, intensity 39

---

Entry 7:
Simulated powder diffraction line list of Ba6Pd3Pt for Cu Kα (λ = 1.5418 Å), from a DFT-relaxed cell (PBE, Alexandria).
Neutral-atom scattering factors, no anomalous dispersion.

Crystal structure
```
data_Ba6Pd3Pt
_chemical_formula_sum 'Ba12 Pd6 Pt2'
_cell_length_a 7.8593
_cell_length_b 8.5351
_cell_length_c 13.8321
_cell_angle_alpha 90.00
_cell_angle_beta 122.93
_cell_angle_gamma 90.00
_space_group_name_H-M_alt 'P 1 21/c 1'
_space_group_IT_number 14
loop_
_space_group_symop_operation_xyz
'x,y,z'
'-x,-y,-z'
'-x,y+1/2,-z+1/2'
'x,-y+1/2,z+1/2'
loop_
_atom_site_label
_atom_site_type_symbol
_atom_site_fract_x
_atom_site_fract_y
_atom_site_fract_z
Ba1 Ba 0.0919 0.0644 0.2477
Ba2 Ba 0.2528 0.6812 0.0820
Ba3 Ba 0.3938 0.1759 0.0661
Pd1 Pd 0.3056 0.1028 0.7665
Pd2 Pd 0.5000 0.0000 0.5000
Pt1 Pt 0.0000 0.0000 0.0000
```

Largest 12 diffraction maxima, low angle first, 5 to 70 degrees two-theta:
24.95°, intensity 40
25.35°, intensity 28
25.94°, intensity 100
28.02°, intensity 36
28.15°, intensity 37
30.94°, intensity 27
33.50°, intensity 45
34.33°, intensity 41
37.47°, intensity 30
38.77°, intensity 41
39.60°, intensity 43
67.87°, intensity 28

---

Entry 8:
Simulated powder diffraction line list of Ba8PdPt4 for Cu Kα (λ = 1.5418 Å), from a DFT-relaxed cell (PBE, Alexandria).
Neutral-atom scattering factors, no anomalous dispersion.

Crystal structure
```
data_Ba8PdPt4
_chemical_formula_sum 'Ba16 Pd2 Pt8'
_cell_length_a 18.4623
_cell_length_b 4.8608
_cell_length_c 12.7294
_cell_angle_alpha 90.00
_cell_angle_beta 116.22
_cell_angle_gamma 90.00
_space_group_name_H-M_alt 'C 1 m 1'
_space_group_IT_number 8
loop_
_space_group_symop_operation_xyz
'x,y,z'
'x,-y,z'
'x+1/2,y+1/2,z'
'x+1/2,-y+1/2,z'
loop_
_atom_site_label
_atom_site_type_symbol
_atom_site_fract_x
_atom_site_fract_y
_atom_site_fract_z
Ba1 Ba 0.0000 0.0000 0.0000
Ba2 Ba 0.0099 0.5000 0.4104
Ba3 Ba 0.1151 0.5000 0.7643
Ba4 Ba 0.1609 0.0000 0.3708
Ba5 Ba 0.2221 0.5000 0.1583
Ba6 Ba 0.2890 0.0000 0.7425
Ba7 Ba 0.3642 0.0000 0.0957
Ba8 Ba 0.3813 0.5000 0.5235
Pd1 Pd 0.2001 0.5000 0.5697
Pt1 Pt 0.0578 0.5000 0.1833
Pt2 Pt 0.0896 0.0000 0.5835
Pt3 Pt 0.3069 0.5000 0.9268
Pt4 Pt 0.3188 0.0000 0.3285
```

Largest 12 diffraction maxima, low angle first, 5 to 70 degrees two-theta:
10.05°, intensity 42
14.44°, intensity 52
21.46°, intensity 74
26.13°, intensity 47
28.36°, intensity 100
29.06°, intensity 65
32.75°, intensity 48
33.75°, intensity 60
36.24°, intensity 33
36.44°, intensity 83
36.99°, intensity 63
47.71°, intensity 33